[1]
This entry pairs a crystal structure of LiIn3Au with its computed X-ray powder pattern. Radiation: Cu Kα, 1.54184 Å. Structure: a crystal structure in Alexandria, relaxed with PBE.
Neutral-atom scattering factors, no anomalous dispersion.

Main lines, by angle (2θ = 15–90°):
Position (°2θ), I (rel.)
24.7, 54
30.3, 61
34.2, 58
34.4, 67
35.1, 46
36.3, 86
37.8, 75
39.8, 100
40.0, 95
41.7, 52

Crystal structure
```
data_LiIn3Au
_symmetry_space_group_name_H-M 'P 1 21/c 1'
_symmetry_Int_Tables_number 14
_cell_length_a 8.192
_cell_length_b 5.898
_cell_length_c 9.525
_cell_angle_alpha 90.00
_cell_angle_beta 107.35
_cell_angle_gamma 90.00
loop_
_symmetry_equiv_pos_as_xyz
'x,y,z'
'-x,-y,-z'
'-x,y+1/2,-z+1/2'
'x,-y+1/2,z+1/2'
loop_
_atom_site_label
_atom_site_fract_x
_atom_site_fract_y
_atom_site_fract_z
_atom_site_occupancy
Li1 0.138 0.239 0.160 1
In1 0.104 0.737 0.146 1
In2 0.302 0.007 0.451 1
In3 0.495 0.507 0.685 1
Au1 0.205 0.003 0.922 1
```

=====

[2]
This entry pairs a crystal structure of LiIn8Au6 with its computed X-ray powder pattern. Radiation: Cu Kα, 1.54184 Å. Structure: a crystal structure in Alexandria, relaxed with PBE.
Neutral-atom scattering factors, no anomalous dispersion.

Main lines, by angle (2θ = 15–90°):
Position (°2θ), I (rel.)
21.8, 45
26.3, 28
29.4, 19
36.9, 100
38.2, 98
49.0, 28
54.2, 32
65.7, 22
68.2, 32
69.1, 16

Crystal structure
```
data_LiIn8Au6
_symmetry_space_group_name_H-M 'R -3'
_symmetry_Int_Tables_number 148
_symmetry_space_group_name_Hall '-R 3'
_cell_length_a 8.1593
_cell_length_b 8.1593
_cell_length_c 18.2019
_cell_angle_alpha 90.00
_cell_angle_beta 90.00
_cell_angle_gamma 120.00
loop_
_atom_site_label
_atom_site_fract_x
_atom_site_fract_y
_atom_site_fract_z
_atom_site_occupancy
Li1 0.0000 0.0000 0.0000 1
In1 0.0000 0.0000 0.3327 1
In2 0.0024 0.3200 0.1089 1
Au1 0.0016 0.3410 0.9333 1
```

=====

[3]
This entry pairs a crystal structure of Li8InAu2 with its computed X-ray powder pattern. Radiation: Cu Kα, 1.54184 Å. Structure: a crystal structure in Alexandria, relaxed with PBE.
Neutral-atom scattering factors, no anomalous dispersion.

Main lines, by angle (2θ = 15–90°):
Position (°2θ), I (rel.)
15.4, 27
23.1, 100
24.1, 45
26.2, 39
27.9, 26
30.7, 24
39.1, 29
39.3, 33
41.8, 23
47.3, 15

Crystal structure
```
data_Li8InAu2
_symmetry_space_group_name_H-M 'I m m m'
_symmetry_Int_Tables_number 71
_symmetry_space_group_name_Hall '-I 2 2'
_cell_length_a 4.500
_cell_length_b 7.395
_cell_length_c 11.490
_cell_angle_alpha 90.00
_cell_angle_beta 90.00
_cell_angle_gamma 90.00
loop_
_atom_site_label
_atom_site_fract_x
_atom_site_fract_y
_atom_site_fract_z
_atom_site_occupancy
Li1 0.000 0.000 0.144 1
Li2 0.000 0.198 0.346 1
Li3 0.000 0.317 0.000 1
In1 0.000 0.500 0.500 1
Au1 0.000 0.500 0.213 1
```

=====

[4]
This entry pairs a crystal structure of NaLiInAu with its computed X-ray powder pattern. Radiation: Cu Kα, 1.54184 Å. Structure: a crystal structure in Alexandria, relaxed with PBE.
Neutral-atom scattering factors, no anomalous dispersion.

Main lines, by angle (2θ = 15–90°):
Position (°2θ), I (rel.)
22.6, 100
37.0, 37
37.4, 73
43.8, 36
44.5, 17
53.3, 13
59.2, 15
67.0, 26
67.7, 13
71.4, 9

Crystal structure
```
data_NaLiInAu
_symmetry_space_group_name_H-M 'I -4 m 2'
_symmetry_Int_Tables_number 119
_symmetry_space_group_name_Hall 'I -4 -2'
_cell_length_a 4.858
_cell_length_b 4.858
_cell_length_c 6.735
_cell_angle_alpha 90.00
_cell_angle_beta 90.00
_cell_angle_gamma 90.00
loop_
_atom_site_label
_atom_site_fract_x
_atom_site_fract_y
_atom_site_fract_z
_atom_site_occupancy
Na1 0.000 0.000 0.000 1
Li1 0.000 0.500 0.250 1
In1 0.000 0.000 0.500 1
Au1 0.000 0.500 0.750 1
```

=====

[5]
This entry pairs a crystal structure of Li2InPbAu4 with its computed X-ray powder pattern. Radiation: Cu Kα, 1.54184 Å. Structure: a crystal structure in Alexandria, relaxed with PBE.
Neutral-atom scattering factors, no anomalous dispersion.

Main lines, by angle (2θ = 15–90°):
Position (°2θ), I (rel.)
22.9, 29
26.4, 41
37.3, 97
38.0, 100
46.8, 9
54.3, 33
66.8, 14
68.2, 34
68.6, 20
81.2, 14

Crystal structure
```
data_Li2InPbAu4
_symmetry_space_group_name_H-M 'R -3 m'
_symmetry_Int_Tables_number 166
_symmetry_space_group_name_Hall '-R 3 2"'
_cell_length_a 4.7383
_cell_length_b 4.7383
_cell_length_c 23.8293
_cell_angle_alpha 90.00
_cell_angle_beta 90.00
_cell_angle_gamma 120.00
loop_
_atom_site_label
_atom_site_fract_x
_atom_site_fract_y
_atom_site_fract_z
_atom_site_occupancy
Li1 0.0000 0.0000 0.2501 1
In1 0.0000 0.0000 0.0000 1
Pb1 0.0000 0.0000 0.5000 1
Au1 0.0000 0.0000 0.1177 1
Au2 0.0000 0.0000 0.3694 1
```

=====

[6]
This entry pairs a crystal structure of Li2PrInAu4 with its computed X-ray powder pattern. Radiation: Cu Kα, 1.54184 Å. Structure: a crystal structure in Alexandria, relaxed with PBE.
Neutral-atom scattering factors, no anomalous dispersion.

Main lines, by angle (2θ = 15–90°):
Position (°2θ), I (rel.)
23.4, 47
26.0, 57
34.8, 92
39.4, 100
40.2, 47
53.6, 27
57.6, 16
68.5, 26
71.5, 18
72.0, 17

Crystal structure
```
data_Li2PrInAu4
_symmetry_space_group_name_H-M 'R -3 m'
_symmetry_Int_Tables_number 166
_symmetry_space_group_name_Hall '-R 3 2"'
_cell_length_a 4.5733
_cell_length_b 4.5733
_cell_length_c 27.1803
_cell_angle_alpha 90.00
_cell_angle_beta 90.00
_cell_angle_gamma 120.00
loop_
_atom_site_label
_atom_site_fract_x
_atom_site_fract_y
_atom_site_fract_z
_atom_site_occupancy
Li1 0.0000 0.0000 0.2368 1
Pr1 0.0000 0.0000 0.0000 1
In1 0.0000 0.0000 0.5000 1
Au1 0.0000 0.0000 0.1202 1
Au2 0.0000 0.0000 0.3953 1
```

=====

[7]
This entry pairs a crystal structure of SrLiInAu with its computed X-ray powder pattern. Radiation: Cu Kα, 1.54184 Å. Structure: a crystal structure in Alexandria, relaxed with PBE.
Neutral-atom scattering factors, no anomalous dispersion.

Main lines, by angle (2θ = 15–90°):
Position (°2θ), I (rel.)
16.9, 77
22.1, 72
24.2, 20
31.3, 94
34.3, 28
37.4, 100
41.4, 34
49.6, 17
51.5, 19
51.7, 35

Crystal structure
```
data_SrLiInAu
_symmetry_space_group_name_H-M 'C 1 m 1'
_symmetry_Int_Tables_number 8
_cell_length_a 8.344
_cell_length_b 4.802
_cell_length_c 5.915
_cell_angle_alpha 90.00
_cell_angle_beta 117.82
_cell_angle_gamma 90.00
loop_
_symmetry_equiv_pos_as_xyz
'x,y,z'
'x,-y,z'
'x+1/2,y+1/2,z'
'x+1/2,-y+1/2,z'
loop_
_atom_site_label
_atom_site_fract_x
_atom_site_fract_y
_atom_site_fract_z
_atom_site_occupancy
Sr1 0.000 0.000 0.000 1
Li1 0.304 0.500 0.411 1
In1 0.012 0.500 0.535 1
Au1 0.204 0.000 0.609 1
```

=====

[8]
This entry pairs a crystal structure of LuInAu2 with its computed X-ray powder pattern. Radiation: Cu Kα, 1.54184 Å. Structure: a crystal structure in Alexandria, relaxed with PBE.
Neutral-atom scattering factors, no anomalous dispersion.

Main lines, by angle (2θ = 15–90°):
Position (°2θ), I (rel.)
25.4, 3
36.3, 100
46.8, 1
52.2, 12
52.3, 6
59.0, 1
65.2, 36
77.0, 11
88.2, 11
88.3, 5

Crystal structure
```
data_LuInAu2
_symmetry_space_group_name_H-M 'P 4/m m m'
_symmetry_Int_Tables_number 123
_symmetry_space_group_name_Hall '-P 4 2'
_cell_length_a 3.505
_cell_length_b 3.505
_cell_length_c 6.996
_cell_angle_alpha 90.00
_cell_angle_beta 90.00
_cell_angle_gamma 90.00
loop_
_atom_site_label
_atom_site_fract_x
_atom_site_fract_y
_atom_site_fract_z
_atom_site_occupancy
Lu1 0.000 0.000 0.000 1
In1 0.000 0.000 0.500 1
Au1 0.500 0.500 0.239 1
```